Computed powder X-ray diffraction pattern of SrB6 for Cu Kα (λ = 1.5418 Å), from a DFT-relaxed cell (GGA-PBE, Alexandria).

Top 10 peaks for 10 to 90 degrees two-theta, low angle first:
- d = 4.200 Å, 21.15 deg, I 39, hkl 1 0 0
- d = 2.970 Å, 30.09 deg, I 100, hkl 1 1 0
- d = 2.425 Å, 37.07 deg, I 43, hkl 1 1 1
- d = 2.100 Å, 43.07 deg, I 23, hkl 2 0 0
- d = 1.878 Å, 48.46 deg, I 46, hkl 2 1 0
- d = 1.715 Å, 53.44 deg, I 20, hkl 2 1 1
- d = 1.400 Å, 66.82 deg, I 30, hkl 2 2 1
- d = 1.328 Å, 70.96 deg, I 21, hkl 3 1 0
- d = 1.266 Å, 75.00 deg, I 12, hkl 3 1 1
- d = 1.122 Å, 86.75 deg, I 15, hkl 3 2 1

Crystal structure
a = 4.200 Å, b = 4.200 Å, c = 4.200 Å
α = 90.00°, β = 90.00°, γ = 90.00°
Positions (direct):
Sr 0.000 0.000 0.000
B 0.203 0.500 0.500
B 0.500 0.203 0.500
B 0.500 0.500 0.203
B 0.500 0.500 0.797
B 0.500 0.797 0.500
B 0.797 0.500 0.500